Diffraction record for Li2Mn3VO8. The X-ray powder pattern is simulated, not measured: it uses DFT lattice parameters and positions (PBE+U) and a wavelength of 1.5418 Å.

Structure:
a = 5.9794 Å, b = 5.9794 Å, c = 14.4326 Å
α = 90.00°, β = 90.00°, γ = 120.00°
Space group R-3m (No. 166, hexagonal axes)
Asymmetric unit:
1 Li 0.0000 0.0000 0.1228 [6 per cell]
2 Mn 0.0000 0.5000 0.0000 [9 per cell]
3 V 0.0000 0.0000 0.5000 [3 per cell]
4 O 0.0000 0.0000 0.2587 [6 per cell]
5 O 0.0371 0.5186 0.2550 [18 per cell]

The 6 most intense peaks (15 to 90 degrees two-theta), by angle:
2theta, I/Imax, (hkl)
18.2, 100.0, 1 0 1
18.4, 37.9, 0 0 3
35.3, 32.0, 1 1 3
43.0, 78.5, 0 2 4
62.1, 23.6, 2 2 0
62.8, 23.2, 2 0 8